# 1
Structure and theoretical powder diffractogram of NaB6 (the GGA-PBE geometry in Alexandria; Cu Kα X-rays).
Lines closer than 0.1° are merged.

The 6 most intense peaks (5 to 70 degrees two-theta), low angle first:
21.33°, I 8.7; 30.35°, I 100.0; 37.40°, I 62.4; 43.45°, I 34.1; 48.90°, I 35.7; 67.46°, I 47.5

Cell and atoms:
Lattice parameters (Å, degrees): 4.165 4.165 4.165 90.00 90.00 90.00
Fractional positions:
Na  0.000  0.000  0.000
B  0.198  0.500  0.500
B  0.500  0.198  0.500
B  0.500  0.500  0.198
B  0.500  0.500  0.802
B  0.500  0.802  0.500
B  0.802  0.500  0.500

# 2
Structure and theoretical powder diffractogram of Na2B3C (the GGA-PBE geometry in Alexandria; Cu Kα X-rays).
Lines closer than 0.1° are merged.

The 6 most intense peaks (5 to 70 degrees two-theta), low angle first:
35.25°, I 23.2; 41.16°, I 100.0; 41.74°, I 57.7; 41.85°, I 39.7; 55.84°, I 12.4; 64.12°, I 17.4

Cell and atoms:
Lattice parameters (Å, degrees): 5.916 5.002 8.635 90.00 90.00 90.00
Fractional positions:
Na  0.124  0.250  0.000
Na  0.124  0.250  0.500
Na  0.376  0.750  0.000
Na  0.376  0.750  0.500
Na  0.624  0.250  0.000
Na  0.624  0.250  0.500
Na  0.876  0.750  0.000
Na  0.876  0.750  0.500
B  0.116  0.586  0.250
B  0.116  0.914  0.750
B  0.360  0.056  0.250
B  0.360  0.444  0.750
B  0.377  0.068  0.750
B  0.377  0.432  0.250
B  0.623  0.568  0.750
B  0.623  0.932  0.250
B  0.640  0.556  0.250
B  0.640  0.944  0.750
B  0.884  0.086  0.250
B  0.884  0.414  0.750
C  0.118  0.574  0.750
C  0.118  0.926  0.250
C  0.882  0.074  0.750
C  0.882  0.426  0.250

# 3
Structure and theoretical powder diffractogram of Na5B7C3 (the GGA-PBE geometry in Alexandria; Cu Kα X-rays).
Lines closer than 0.1° are merged.

The 6 most intense peaks (5 to 70 degrees two-theta), low angle first:
34.93°, I 8.3; 36.25°, I 12.3; 40.96°, I 35.7; 42.12°, I 100.0; 56.78°, I 6.9; 63.50°, I 12.3

Cell and atoms:
Lattice parameters (Å, degrees): 9.060 9.060 13.387 112.89 112.89 17.97
Fractional positions:
Na  0.000  0.000  0.000
Na  0.000  0.000  0.498
Na  0.201  0.201  0.401
Na  0.202  0.202  0.898
Na  0.399  0.399  0.798
Na  0.402  0.402  0.300
Na  0.599  0.599  0.204
Na  0.600  0.600  0.697
Na  0.801  0.801  0.597
Na  0.803  0.803  0.101
B  0.027  0.027  0.802
B  0.039  0.039  0.327
B  0.179  0.179  0.106
B  0.228  0.228  0.702
B  0.365  0.365  0.477
B  0.430  0.430  0.109
B  0.571  0.571  0.889
B  0.634  0.634  0.516
B  0.635  0.635  0.018
B  0.769  0.769  0.783
B  0.770  0.770  0.290
B  0.837  0.837  0.921
B  0.960  0.960  0.666
B  0.970  0.970  0.189
C  0.166  0.166  0.578
C  0.238  0.238  0.226
C  0.368  0.368  0.984
C  0.429  0.429  0.603
C  0.570  0.570  0.389
C  0.833  0.833  0.415

# 4
Structure and theoretical powder diffractogram of Ag2As2Pb (the GGA-PBE geometry in Alexandria; Cu Kα X-rays).
Lines closer than 0.1° are merged.

The 6 most intense peaks (5 to 70 degrees two-theta), low angle first:
30.45°, I 24.6; 32.41°, I 51.9; 34.15°, I 100.0; 37.58°, I 74.7; 49.09°, I 24.0; 69.98°, I 24.7

Cell and atoms:
Lattice parameters (Å, degrees): 8.303 8.303 3.130 90.00 90.00 90.00
Fractional positions:
Ag  0.130  0.370  0.000
Ag  0.370  0.870  0.000
Ag  0.630  0.130  0.000
Ag  0.870  0.630  0.000
As  0.166  0.666  0.500
As  0.334  0.166  0.500
As  0.666  0.834  0.500
As  0.834  0.334  0.500
Pb  0.000  0.000  0.500
Pb  0.500  0.500  0.500

# 5
Structure and theoretical powder diffractogram of Tl6SnHg10 (the GGA-PBE geometry in Alexandria; Cu Kα X-rays).
Lines closer than 0.1° are merged.

The 6 most intense peaks (5 to 70 degrees two-theta), low angle first:
28.78°, I 18.4; 32.11°, I 91.4; 32.73°, I 74.4; 33.97°, I 100.0; 42.17°, I 18.4; 47.89°, I 24.1

Cell and atoms:
Lattice parameters (Å, degrees): 9.478 9.478 6.356 90.00 90.00 120.00
Fractional positions:
Tl  0.000  0.388  0.269
Tl  0.000  0.612  0.731
Tl  0.388  0.000  0.269
Tl  0.388  0.388  0.731
Tl  0.612  0.000  0.731
Tl  0.612  0.612  0.269
Sn  0.000  0.000  0.500
Hg  0.000  0.258  0.796
Hg  0.000  0.742  0.204
Hg  0.258  0.000  0.796
Hg  0.258  0.258  0.204
Hg  0.333  0.667  0.000
Hg  0.333  0.667  0.500
Hg  0.667  0.333  0.000
Hg  0.667  0.333  0.500
Hg  0.742  0.000  0.204
Hg  0.742  0.742  0.796